Calculated X-ray diffraction stick pattern
Compound: Dy12Co6Hg
Radiation: λ = 1.5418 Å (Cu Kα)
Structure: a crystal structure in OQMD, relaxed with GGA-PBE
Intensities are scaled so that the largest is 100.

Peak list (10 most intense, 10° ≤ 2θ ≤ 80°, low angle first)
Position (°2θ)  I_rel  hkl
29.39  46  3 1 0
32.27  58  2 2 2
34.94  100  3 2 1
37.43  22  4 0 0
48.29  25  5 1 0
55.78  36  5 0 3
57.55  12  6 0 0
59.28  40  5 3 2
69.12  22  5 4 3
72.25  9  7 2 1

Cell and atoms:
```
data_Dy12Co6Hg
_chemical_formula_sum 'Dy24 Co12 Hg2'
_cell_length_a 9.6097
_cell_length_b 9.6097
_cell_length_c 9.6097
_cell_angle_alpha 90.00
_cell_angle_beta 90.00
_cell_angle_gamma 90.00
_space_group_name_H-M_alt 'I m -3'
_space_group_IT_number 204
_space_group_name_Hall '-I 2 2 3'
loop_
_atom_site_label
_atom_site_fract_x
_atom_site_fract_y
_atom_site_fract_z
Dy1 0.0000 0.1939 0.3024
Co1 0.0000 0.3865 0.5000
Hg1 0.0000 0.0000 0.0000
```